Simulated PXRD pattern of Li2CoSiO4 for λ = 1.5418 Å (Cu Kα), from a DFT-relaxed cell (GGA+U, Alexandria).

Atomic structure:
a b c (Å): 10.953 6.197 5.121
angles (deg): 90.00 90.00 90.00
Sites, in units of the cell vectors:
Li 0.168 0.005 0.202
Li 0.168 0.495 0.202
Li 0.332 0.505 0.702
Li 0.332 0.995 0.702
Li 0.668 0.005 0.298
Li 0.668 0.495 0.298
Li 0.832 0.505 0.798
Li 0.832 0.995 0.798
Co 0.075 0.750 0.807
Co 0.425 0.250 0.307
Co 0.575 0.750 0.693
Co 0.925 0.250 0.193
Si 0.086 0.250 0.691
Si 0.414 0.750 0.191
Si 0.586 0.250 0.809
Si 0.914 0.750 0.309
O 0.056 0.750 0.203
O 0.086 0.250 0.368
O 0.160 0.034 0.798
O 0.160 0.466 0.798
O 0.340 0.534 0.298
O 0.340 0.966 0.298
O 0.414 0.750 0.868
O 0.444 0.250 0.703
O 0.556 0.750 0.297
O 0.586 0.250 0.132
O 0.660 0.034 0.702
O 0.660 0.466 0.702
O 0.840 0.534 0.202
O 0.840 0.966 0.202
O 0.914 0.750 0.632
O 0.944 0.250 0.797

Principal peaks in the range 10° ≤ 2θ ≤ 90°, by intensity:
d_spacing, 2θ (°), I_rel, index
3.740, 23.79, 100, 2 0 1
5.476, 16.19, 68, 2 0 0
2.697, 33.22, 66, 2 2 0
2.560, 35.05, 51, 0 0 2
3.098, 28.82, 43, 0 2 0
2.680, 33.43, 37, 3 1 1
1.573, 58.70, 30, 6 2 0
1.500, 61.84, 24, 3 1 3
1.905, 47.75, 24, 4 2 1
2.738, 32.70, 20, 4 0 0
1.857, 49.06, 20, 2 2 2
3.714, 23.96, 18, 1 1 1